Structure and simulated XRD peak list of LiMnF4 (a structure optimized by DFT (GGA+U); λ = 1.5418 Å (Cu Kα)).
Neutral-atom scattering factors, no anomalous dispersion.

Cell and atoms:
```
data_LiMnF4
_space_group_name_H-M_alt 'P 1'
_space_group_IT_number 1
_cell_length_a 7.6420
_cell_length_b 4.9813
_cell_length_c 7.5232
_cell_angle_alpha 90.00
_cell_angle_beta 102.91
_cell_angle_gamma 90.00
loop_
_space_group_symop_operation_xyz
'x,y,z'
loop_
_atom_site_label
_atom_site_type_symbol
_atom_site_fract_x
_atom_site_fract_y
_atom_site_fract_z
_atom_site_occupancy
Li1 Li 0.1421 0.2408 0.3380 1
Li2 Li 0.1421 0.2592 0.8380 1
Li3 Li 0.8579 0.7408 0.1620 1
Li4 Li 0.8579 0.7592 0.6620 1
Mn1 Mn 0.3161 0.7497 0.1822 1
Mn2 Mn 0.3161 0.7503 0.6822 1
Mn3 Mn 0.6839 0.2497 0.3178 1
Mn4 Mn 0.6839 0.2503 0.8178 1
F1 F 0.0912 0.5707 0.1943 1
F2 F 0.0912 0.9293 0.6943 1
F3 F 0.1984 0.0559 0.0855 1
F4 F 0.1984 0.4441 0.5855 1
F5 F 0.3111 0.5865 0.9335 1
F6 F 0.3111 0.9135 0.4335 1
F7 F 0.4411 0.0547 0.7967 1
F8 F 0.4411 0.4453 0.2967 1
F9 F 0.5589 0.5547 0.7033 1
F10 F 0.5589 0.9453 0.2033 1
F11 F 0.6889 0.0865 0.5665 1
F12 F 0.6889 0.4135 0.0665 1
F13 F 0.8016 0.5559 0.4145 1
F14 F 0.8016 0.9441 0.9145 1
F15 F 0.9088 0.0707 0.3057 1
F16 F 0.9088 0.4293 0.8057 1
```

Most intense lines, 2θ from 15° to 90°, sorted by position:
| 2θ/deg | Rel. int. |
| --- | --- |
| 21.46 | 100 |
| 23.89 | 30 |
| 24.27 | 31 |
| 24.55 | 39 |
| 29.96 | 31 |
| 30.27 | 27 |
| 39.97 | 31 |
| 40.46 | 30 |
| 52.46 | 21 |
| 53.24 | 22 |
| 53.46 | 30 |
| 64.29 | 26 |